For SrCeN2, a cell relaxed with GGA-PBE gives the theoretical powder diffractogram in this record (λ = 1.5418 Å (Cu Kα)).

Atomic structure:
```
data_SrCeN2
_space_group_name_H-M_alt 'I 41/a m d'
_space_group_IT_number 141
_cell_length_a 5.2256
_cell_length_b 5.2256
_cell_length_c 10.3062
_cell_angle_alpha 90.00
_cell_angle_beta 90.00
_cell_angle_gamma 90.00
loop_
_space_group_symop_operation_xyz
'x,y,z'
'-x,-y,-z'
'-y+1/4,x+3/4,z+1/4'
'y+1/4,-x+3/4,-z+1/4'
'-x+1/2,-y,z+1/2'
'x+1/2,y,-z+1/2'
'y+1/4,-x+1/4,z+3/4'
'-y+1/4,x+1/4,-z+3/4'
'x,-y,-z'
'-x,y,z'
'-y+1/4,-x+1/4,-z+3/4'
'y+1/4,x+1/4,z+3/4'
'-x+1/2,y,-z+1/2'
'x+1/2,-y,z+1/2'
'y+1/4,x+3/4,-z+1/4'
'-y+1/4,-x+3/4,z+1/4'
'x+1/2,y+1/2,z+1/2'
'-x+1/2,-y+1/2,-z+1/2'
'-y+3/4,x+1/4,z+3/4'
'y+3/4,-x+1/4,-z+3/4'
'-x,-y+1/2,z'
'x,y+1/2,-z'
'y+3/4,-x+3/4,z+1/4'
'-y+3/4,x+3/4,-z+1/4'
'x+1/2,-y+1/2,-z+1/2'
'-x+1/2,y+1/2,z+1/2'
'-y+3/4,-x+3/4,-z+1/4'
'y+3/4,x+3/4,z+1/4'
'-x,y+1/2,-z'
'x,-y+1/2,z'
'y+3/4,x+1/4,-z+3/4'
'-y+3/4,-x+1/4,z+3/4'
loop_
_atom_site_label
_atom_site_type_symbol
_atom_site_fract_x
_atom_site_fract_y
_atom_site_fract_z
Sr1 Sr 0.0000 0.2500 0.3750
Ce1 Ce 0.0000 0.2500 0.8750
N1 N 0.0000 0.2500 0.0955
```

Largest 10 diffraction maxima, in order of rising 2θ, 15° ≤ 2θ ≤ 90°:
(1 0 1), 19.0 deg, I = 12; (1 1 2), 29.8 deg, I = 100; (2 0 0), 34.3 deg, I = 55; (0 0 4), 34.8 deg, I = 25; (2 2 0), 49.3 deg, I = 19; (2 0 4), 49.7 deg, I = 35; (3 1 2), 58.7 deg, I = 31; (1 1 6), 59.3 deg, I = 16; (2 2 4), 61.8 deg, I = 18; (3 1 6), 80.7 deg, I = 14